The following is a computed PXRD pattern of Tb3P4Pd7. It was derived from a structure optimized by DFT (GGA-PBE), using Cu Kα, 1.54184 Å.
Neutral-atom scattering factors, no anomalous dispersion.

Top 10 peaks for 2θ = 15–90°, low angle first:
2θ 30.28, intensity 20.5
2θ 35.99, intensity 100.0
2θ 36.34, intensity 28.2
2θ 36.86, intensity 69.4
2θ 38.27, intensity 29.6
2θ 39.57, intensity 25.9
2θ 43.30, intensity 33.7
2θ 45.12, intensity 46.4
2θ 64.32, intensity 20.5
2θ 68.81, intensity 20.0

```
Tb3P4Pd7
1.0
7.702 -2.009 0.000
7.702 2.009 0.000
-5.469 0.000 7.662
Tb P Pd
3 4 7
Cartesian
0.000 0.000 0.000
3.162 0.000 2.471
6.773 0.000 5.190
-2.856 0.000 6.286
1.168 0.000 5.714
8.767 0.000 1.947
12.791 0.000 1.376
-2.735 0.000 3.831
0.287 0.000 3.223
-0.603 0.000 7.431
3.636 0.000 5.488
6.300 0.000 2.174
10.539 0.000 0.230
9.648 0.000 4.439
```